1.
Li16Zn12Cu: computed X-ray diffraction stick pattern (copper Kα), based on DFT lattice parameters and positions (PBE).
Lines closer than 0.1° are merged.

Structural model:
Lattice parameters (Å, degrees): 8.497 8.497 8.147 108.66 108.66 110.37
Fractional coordinates of all 29 atoms:
Li  0.000  0.000  0.000
Li  0.002  0.591  0.947
Li  0.003  0.003  0.635
Li  0.005  0.326  0.226
Li  0.005  0.354  0.626
Li  0.284  0.692  0.325
Li  0.325  0.600  0.645
Li  0.326  0.005  0.226
Li  0.354  0.005  0.626
Li  0.415  0.415  0.363
Li  0.418  0.725  0.043
Li  0.591  0.002  0.947
Li  0.600  0.325  0.645
Li  0.652  0.652  0.278
Li  0.692  0.284  0.325
Li  0.725  0.418  0.043
Zn  0.003  0.636  0.449
Zn  0.185  0.185  0.447
Zn  0.187  0.372  0.002
Zn  0.193  0.824  0.825
Zn  0.372  0.187  0.002
Zn  0.391  0.391  0.821
Zn  0.636  0.003  0.449
Zn  0.639  0.819  0.649
Zn  0.809  0.993  0.246
Zn  0.819  0.639  0.649
Zn  0.824  0.193  0.825
Zn  0.993  0.809  0.246
Cu  0.688  0.688  0.911

The 10 most intense peaks (10 to 90 degrees two-theta), most intense first:
| d/Å | Rel. int. |
| --- | --- |
| 3.981 | 100.0 |
| 2.095 | 57.7 |
| 4.023 | 43.3 |
| 2.290 | 38.9 |
| 3.860 | 36.6 |
| 6.971 | 31.6 |
| 2.251 | 23.5 |
| 1.890 | 23.1 |
| 2.077 | 20.9 |
| 1.914 | 19.5 |

2.
LiZn3Cu8: computed X-ray diffraction stick pattern (copper Kα), based on DFT lattice parameters and positions (PBE).
Lines closer than 0.1° are merged.

Structural model:
Lattice parameters (Å, degrees): 6.339 6.339 6.339 119.94 119.94 90.10
Fractional coordinates of all 12 atoms:
Li  0.000  0.000  0.000
Zn  0.250  0.750  0.500
Zn  0.500  0.500  0.000
Zn  0.750  0.250  0.500
Cu  0.073  0.349  0.000
Cu  0.173  0.707  0.000
Cu  0.293  0.293  0.466
Cu  0.349  0.073  0.000
Cu  0.651  0.651  0.725
Cu  0.707  0.173  0.000
Cu  0.827  0.827  0.534
Cu  0.927  0.927  0.275

The 10 most intense peaks (10 to 90 degrees two-theta), most intense first:
| d/Å | Rel. int. |
| --- | --- |
| 2.704 | 100.0 |
| 1.831 | 99.9 |
| 2.004 | 86.6 |
| 2.242 | 79.6 |
| 2.057 | 51.2 |
| 1.198 | 42.4 |
| 3.170 | 41.4 |
| 2.589 | 38.8 |
| 1.495 | 30.3 |
| 1.168 | 25.0 |

3.
LiZn9Cu3: computed X-ray diffraction stick pattern (copper Kα), based on DFT lattice parameters and positions (PBE).
Lines closer than 0.1° are merged.

Structural model:
Lattice parameters (Å, degrees): 6.679 6.679 6.670 97.69 97.69 136.48
Fractional coordinates of all 13 atoms:
Li  0.000  0.000  0.000
Zn  0.012  0.664  0.661
Zn  0.282  0.498  0.788
Zn  0.336  0.988  0.339
Zn  0.498  0.282  0.788
Zn  0.500  0.500  0.500
Zn  0.502  0.718  0.212
Zn  0.664  0.012  0.661
Zn  0.718  0.502  0.212
Zn  0.988  0.336  0.339
Cu  0.000  0.000  0.500
Cu  0.000  0.500  0.000
Cu  0.500  0.000  0.000

The 10 most intense peaks (10 to 90 degrees two-theta), most intense first:
| d/Å | Rel. int. |
| --- | --- |
| 2.197 | 100.0 |
| 1.935 | 66.9 |
| 1.961 | 55.0 |
| 1.966 | 54.7 |
| 2.184 | 50.9 |
| 4.392 | 47.4 |
| 1.947 | 40.5 |
| 2.150 | 38.6 |
| 2.164 | 33.3 |
| 1.927 | 32.4 |

4.
Li5Zn4Cu: computed X-ray diffraction stick pattern (copper Kα), based on DFT lattice parameters and positions (PBE).
Lines closer than 0.1° are merged.

Structural model:
Lattice parameters (Å, degrees): 6.227 6.227 6.227 97.70 97.70 137.07
Fractional coordinates of all 10 atoms:
Li  0.000  0.000  0.000
Li  0.530  0.531  0.630
Li  0.531  0.901  0.001
Li  0.900  0.530  0.999
Li  0.901  0.900  0.370
Zn  0.242  0.574  0.332
Zn  0.243  0.910  0.668
Zn  0.574  0.243  0.333
Zn  0.910  0.242  0.667
Cu  0.464  0.464  0.000

The 10 most intense peaks (10 to 90 degrees two-theta), most intense first:
| d/Å | Rel. int. |
| --- | --- |
| 2.343 | 100.0 |
| 2.856 | 66.5 |
| 3.983 | 39.4 |
| 1.932 | 37.8 |
| 4.098 | 35.8 |
| 2.121 | 31.2 |
| 2.592 | 24.9 |
| 1.180 | 19.2 |
| 5.795 | 18.6 |
| 1.791 | 17.7 |

5.
LiZn3Cu4: computed X-ray diffraction stick pattern (copper Kα), based on DFT lattice parameters and positions (PBE).
Lines closer than 0.1° are merged.

Structural model:
Lattice parameters (Å, degrees): 4.503 4.566 5.907 104.71 103.97 109.10
Fractional coordinates of all 8 atoms:
Li  0.000  0.000  0.000
Zn  0.365  0.866  0.730
Zn  0.500  0.500  0.000
Zn  0.635  0.134  0.270
Cu  0.125  0.624  0.247
Cu  0.252  0.254  0.507
Cu  0.748  0.746  0.493
Cu  0.875  0.376  0.753

The 10 most intense peaks (10 to 90 degrees two-theta), most intense first:
| d/Å | Rel. int. |
| --- | --- |
| 2.159 | 100.0 |
| 2.168 | 51.4 |
| 2.127 | 48.3 |
| 1.893 | 35.6 |
| 1.847 | 30.5 |
| 1.855 | 30.3 |
| 1.317 | 18.0 |
| 5.342 | 12.8 |
| 1.128 | 10.5 |
| 1.120 | 10.4 |

6.
Li5ZnCu: computed X-ray diffraction stick pattern (copper Kα), based on DFT lattice parameters and positions (PBE).
Lines closer than 0.1° are merged.

Structural model:
Lattice parameters (Å, degrees): 4.904 4.904 9.686 93.45 93.45 84.60
Fractional coordinates of all 14 atoms:
Li  0.032  0.312  0.591
Li  0.051  0.375  0.879
Li  0.168  0.832  0.750
Li  0.312  0.032  0.091
Li  0.375  0.051  0.379
Li  0.625  0.949  0.621
Li  0.688  0.968  0.909
Li  0.832  0.168  0.250
Li  0.949  0.625  0.121
Li  0.968  0.688  0.409
Zn  0.434  0.566  0.250
Zn  0.566  0.434  0.750
Cu  0.500  0.500  0.000
Cu  0.500  0.500  0.500

The 10 most intense peaks (10 to 90 degrees two-theta), most intense first:
| d/Å | Rel. int. |
| --- | --- |
| 4.875 | 100.0 |
| 3.615 | 25.7 |
| 2.264 | 16.9 |
| 2.437 | 15.0 |
| 3.301 | 14.0 |
| 2.212 | 13.5 |
| 2.117 | 13.2 |
| 2.087 | 8.8 |
| 1.948 | 8.4 |
| 2.414 | 8.4 |

7.
Li23Zn6Cu: computed X-ray diffraction stick pattern (copper Kα), based on DFT lattice parameters and positions (PBE).
Lines closer than 0.1° are merged.

Structural model:
Lattice parameters (Å, degrees): 9.018 9.018 9.018 60.00 60.00 60.00
Fractional coordinates of all 30 atoms:
Li  0.000  0.000  0.000
Li  0.000  0.000  0.500
Li  0.000  0.500  0.000
Li  0.000  0.500  0.500
Li  0.129  0.129  0.129
Li  0.129  0.129  0.614
Li  0.129  0.614  0.129
Li  0.146  0.618  0.618
Li  0.382  0.382  0.382
Li  0.382  0.382  0.854
Li  0.382  0.854  0.382
Li  0.386  0.871  0.871
Li  0.500  0.000  0.000
Li  0.500  0.000  0.500
Li  0.500  0.500  0.000
Li  0.614  0.129  0.129
Li  0.618  0.146  0.618
Li  0.618  0.618  0.146
Li  0.618  0.618  0.618
Li  0.854  0.382  0.382
Li  0.871  0.386  0.871
Li  0.871  0.871  0.386
Li  0.871  0.871  0.871
Zn  0.249  0.249  0.751
Zn  0.249  0.751  0.249
Zn  0.249  0.751  0.751
Zn  0.751  0.249  0.249
Zn  0.751  0.249  0.751
Zn  0.751  0.751  0.249
Cu  0.500  0.500  0.500

The 10 most intense peaks (10 to 90 degrees two-theta), most intense first:
| d/Å | Rel. int. |
| --- | --- |
| 2.255 | 100.0 |
| 6.377 | 79.1 |
| 3.189 | 71.5 |
| 3.682 | 69.9 |
| 2.852 | 43.9 |
| 1.923 | 33.8 |
| 1.302 | 30.9 |
| 2.126 | 23.8 |
| 1.426 | 23.4 |
| 1.841 | 19.1 |

8.
Li2Zn3Cu8: computed X-ray diffraction stick pattern (copper Kα), based on DFT lattice parameters and positions (PBE).
Lines closer than 0.1° are merged.

Structural model:
Lattice parameters (Å, degrees): 9.548 9.548 9.548 29.13 29.13 29.13
Fractional coordinates of all 13 atoms:
Li  0.142  0.142  0.142
Li  0.858  0.858  0.858
Zn  0.319  0.319  0.319
Zn  0.500  0.500  0.500
Zn  0.681  0.681  0.681
Cu  0.230  0.230  0.230
Cu  0.232  0.232  0.731
Cu  0.232  0.731  0.232
Cu  0.269  0.768  0.768
Cu  0.731  0.232  0.232
Cu  0.768  0.269  0.768
Cu  0.768  0.768  0.269
Cu  0.770  0.770  0.770

The 10 most intense peaks (10 to 90 degrees two-theta), most intense first:
| d/Å | Rel. int. |
| --- | --- |
| 2.056 | 100.0 |
| 2.138 | 86.8 |
| 1.990 | 81.1 |
| 2.851 | 51.8 |
| 4.568 | 45.3 |
| 1.886 | 34.4 |
| 1.330 | 33.4 |
| 2.126 | 30.1 |
| 1.944 | 29.8 |
| 1.201 | 29.2 |